No. 1
This entry pairs a crystal structure of PmGa2PdO6 with its calculated PXRD pattern. Radiation: Cu Kα (weighted mean of Kα1 and Kα2). Structure: a DFT-relaxed cell (PBE, Alexandria).
Lines closer than 0.1° are merged.

The 10 most intense peaks (10° ≤ 2θ ≤ 90°), by angle:
- 2θ 17.20, I = 31.3
- 2θ 27.57, I = 100.0
- 2θ 27.99, I = 74.8
- 2θ 28.10, I = 44.4
- 2θ 31.09, I = 61.4
- 2θ 33.49, I = 22.2
- 2θ 34.81, I = 25.8
- 2θ 35.12, I = 37.3
- 2θ 36.13, I = 99.8
- 2θ 46.47, I = 32.5

Crystal structure
Unit cell a=11.281 b=8.311 c=6.295 alpha=90.00 beta=113.95 gamma=90.00
Space group C2/c (No. 15)
Symmetry-distinct sites (fractional):
Pm (0.000, 0.161, 0.250)
Ga (0.213, 0.435, 0.193)
Pd (0.000, 0.254, 0.750)
O (0.105, 0.081, 0.658)
O (0.137, 0.238, 0.074)
O (0.150, 0.432, 0.432)

No. 2
This entry pairs a crystal structure of Cs2HgPbO4 with its calculated PXRD pattern. Radiation: Cu Kα (weighted mean of Kα1 and Kα2). Structure: a DFT-relaxed cell (PBE, Alexandria).
Lines closer than 0.1° are merged.

The 10 most intense peaks (10° ≤ 2θ ≤ 90°), by angle:
- 2θ 16.77, I = 19.4
- 2θ 26.31, I = 53.7
- 2θ 27.57, I = 47.2
- 2θ 27.94, I = 86.9
- 2θ 28.97, I = 100.0
- 2θ 36.87, I = 26.5
- 2θ 40.03, I = 21.0
- 2θ 46.79, I = 28.9
- 2θ 48.33, I = 22.9
- 2θ 48.76, I = 21.1

Crystal structure
Unit cell a=9.020 b=8.453 c=6.491 alpha=90.00 beta=131.32 gamma=90.00
Space group C2 (No. 5)
Symmetry-distinct sites (fractional):
Cs (0.000, 0.000, 0.000)
Cs (0.000, 0.239, 0.500)
Hg (0.000, 0.719, 0.500)
Pb (0.000, 0.521, 0.000)
O (0.139, 0.687, 0.912)
O (0.227, 0.423, 0.376)

No. 3
This entry pairs a crystal structure of ScNbCu with its calculated PXRD pattern. Radiation: Cu Kα (weighted mean of Kα1 and Kα2). Structure: a DFT-relaxed cell (PBE, Alexandria).
Lines closer than 0.1° are merged.

The 10 most intense peaks (10° ≤ 2θ ≤ 90°), by angle:
- 2θ 23.69, I = 4.3
- 2θ 29.11, I = 6.3
- 2θ 37.87, I = 100.0
- 2θ 41.63, I = 39.9
- 2θ 48.48, I = 12.8
- 2θ 60.34, I = 12.5
- 2θ 65.78, I = 16.4
- 2θ 73.48, I = 25.4
- 2θ 80.92, I = 8.2
- 2θ 83.39, I = 5.8

Crystal structure
Unit cell a=3.068 b=3.068 c=11.265 alpha=90.00 beta=90.00 gamma=90.00
Space group P4/mmm (No. 123)
Symmetry-distinct sites (fractional):
Sc (0.000, 0.000, 0.161)
Nb (0.500, 0.500, 0.351)
Cu (0.000, 0.000, 0.500)
Cu (0.500, 0.500, 0.000)

No. 4
This entry pairs a crystal structure of TcNiAsRu with its calculated PXRD pattern. Radiation: Cu Kα (weighted mean of Kα1 and Kα2). Structure: a DFT-relaxed cell (PBE, Alexandria).
Lines closer than 0.1° are merged.

The 6 most intense peaks (10° ≤ 2θ ≤ 90°), by angle:
- 2θ 29.88, I = 4.2
- 2θ 42.77, I = 100.0
- 2θ 53.05, I = 1.1
- 2θ 62.08, I = 16.0
- 2θ 70.41, I = 1.5
- 2θ 78.32, I = 31.9

Crystal structure
Unit cell a=5.980 b=5.980 c=5.980 alpha=90.00 beta=90.00 gamma=90.00
Space group F-43m (No. 216)
Symmetry-distinct sites (fractional):
Tc (0.000, 0.000, 0.000)
Ni (0.250, 0.250, 0.750)
As (0.250, 0.250, 0.250)
Ru (0.000, 0.000, 0.500)